LiH2BrO5: simulated PXRD pattern (Cu Kα (λ = 1.5418 Å)), based on a DFT-relaxed cell (PBE, the Materials Project).
Peak positions follow from Bragg's law for the DFT cell and can differ from measured ones.

abc: 8.116 8.116 10.944
angles: 109.70 109.70 40.08
Fractional positions:
Li1 0.000 0.500 0.500
Li2 0.070 0.930 0.750
Li3 0.500 0.000 0.000
Li4 0.930 0.070 0.250
H1 0.022 0.270 0.934
H2 0.049 0.162 0.510
H3 0.162 0.049 0.010
H4 0.270 0.022 0.434
H5 0.730 0.978 0.566
H6 0.838 0.951 0.990
H7 0.951 0.838 0.490
H8 0.978 0.730 0.066
Br1 0.317 0.424 0.289
Br2 0.424 0.317 0.789
Br3 0.576 0.683 0.211
Br4 0.683 0.576 0.711
O1 0.082 0.171 0.435
O2 0.137 0.733 0.341
O3 0.171 0.082 0.935
O4 0.233 0.337 0.347
O5 0.250 0.623 0.841
O6 0.267 0.863 0.159
O7 0.268 0.384 0.127
O8 0.337 0.233 0.847
O9 0.377 0.750 0.659
O10 0.384 0.268 0.627
O11 0.616 0.732 0.373
O12 0.623 0.250 0.341
O13 0.663 0.767 0.153
O14 0.732 0.616 0.873
O15 0.733 0.137 0.841
O16 0.750 0.377 0.159
O17 0.767 0.663 0.653
O18 0.829 0.918 0.065
O19 0.863 0.267 0.659
O20 0.918 0.829 0.565

Top 12 peaks for 10° ≤ 2θ ≤ 90°, in order of falling intensity:
2theta, d_spacing, I (rel.)
26.05, 3.421, 100.0
17.36, 5.108, 57.1
17.11, 5.182, 39.0
24.66, 3.610, 36.1
24.84, 3.585, 32.2
25.02, 3.558, 28.3
44.71, 2.027, 18.4
32.73, 2.736, 17.3
41.64, 2.169, 13.4
32.18, 2.782, 10.5
33.37, 2.685, 10.1
54.51, 1.684, 9.4


ThAlPd: simulated PXRD pattern (Cu Kα (λ = 1.5418 Å)), based on a DFT-relaxed cell (PBE, the Materials Project).
Peak positions follow from Bragg's law for the DFT cell and can differ from measured ones.

abc: 7.328 7.328 4.200
angles: 90.00 90.00 120.00
Fractional positions:
Th1 0.000 0.582 0.000
Th2 0.418 0.418 0.000
Th3 0.582 0.000 0.000
Al1 0.000 0.233 0.500
Al2 0.233 0.000 0.500
Al3 0.767 0.767 0.500
Pd1 0.000 0.000 0.000
Pd2 0.333 0.667 0.500
Pd3 0.667 0.333 0.500

Top 12 peaks for 10° ≤ 2θ ≤ 90°, in order of falling intensity:
2theta, d_spacing, I (rel.)
35.45, 2.532, 100.0
32.43, 2.761, 88.8
24.29, 3.664, 35.1
28.12, 3.173, 34.2
56.70, 1.623, 33.9
21.15, 4.200, 27.6
37.49, 2.399, 25.8
51.95, 1.760, 25.0
43.07, 2.100, 23.2
69.70, 1.349, 21.2
43.44, 2.083, 20.6
68.17, 1.376, 18.7